The following is a theoretical XRD peak list of Sr3Zn2In2Ge4. It was derived from a structure optimized by DFT (PBE), using Cu Kα (weighted mean of Kα1 and Kα2).
Kinematic intensities with the Lorentz-polarization factor, no thermal factor.

Atomic structure:
Cell: 4.4631 4.4631 16.5740 Å, 90.00 90.00 120.00°
Element x y z (fractional)
Sr1 0.0000 0.0000 0.0000
Sr2 0.0000 0.0000 0.2681
Sr3 0.0000 0.0000 0.7319
Zn1 0.3333 0.6667 0.1353
Zn2 0.6667 0.3333 0.8647
In1 0.3333 0.6667 0.5631
In2 0.6667 0.3333 0.4369
Ge1 0.3333 0.6667 0.3836
Ge2 0.3333 0.6667 0.8665
Ge3 0.6667 0.3333 0.1335
Ge4 0.6667 0.3333 0.6164

Top 10 peaks for 5° ≤ 2θ ≤ 70°, by angle:
hkl 1 0 2, 2θ 25.43, rel. 176; hkl 1 0 3, 2θ 28.18, rel. 439; hkl 0 1 4, 2θ 31.66, rel. 1000; hkl 0 1 5, 2θ 35.68, rel. 188; hkl 0 0 7, 2θ 38.00, rel. 172; hkl 0 1 6, 2θ 40.12, rel. 158; hkl 1 1 0, 2θ 40.42, rel. 923; hkl 2 0 4, 2θ 52.23, rel. 237; hkl 1 1 7, 2θ 56.68, rel. 312; hkl 1 2 4, 2θ 68.05, rel. 211